# 1
For Li2AlAg7Sb2, a structure optimized by DFT (GGA-PBE) gives the calculated powder diffraction line list in this record (Cu Ka).
Kinematic intensities with the Lorentz-polarization factor, no thermal factor.

Peak list (10 most intense, 5° ≤ 2θ ≤ 70°, by intensity)
2theta  I_rel  (hkl)
36.95  100  2 0 3
41.12  35  0 2 4
41.36  34  0 0 6
25.35  34  1 1 2
36.69  32  0 2 3
44.05  31  2 2 1
30.99  29  0 2 1
67.28  23  2 2 7
43.47  22  2 2 0
22.41  19  1 1 1

Crystal structure
```
data_Li2AlAg7Sb2
_chemical_formula_sum 'Li4 Al2 Ag14 Sb4'
_space_group_name_H-M_alt 'C m m m'
_space_group_IT_number 65
_space_group_name_Hall '-C 2 2'
_cell_length_a 5.8593
_cell_length_b 5.9165
_cell_length_c 13.0993
_cell_angle_alpha 90.00
_cell_angle_beta 90.00
_cell_angle_gamma 90.00
loop_
_atom_site_label
_atom_site_fract_x
_atom_site_fract_y
_atom_site_fract_z
_atom_site_occupancy
Li1 0.0000 0.0000 0.1897 1
Al1 0.0000 0.5000 0.5000 1
Ag1 0.0000 0.0000 0.5000 1
Ag2 0.2446 0.0000 0.0000 1
Ag3 0.2500 0.2500 0.3470 1
Sb1 0.0000 0.5000 0.1881 1
```


# 2
For Zr4AlIr, a structure optimized by DFT (GGA-PBE) gives the calculated powder diffraction line list in this record (Cu Ka).
Kinematic intensities with the Lorentz-polarization factor, no thermal factor.

Peak list (10 most intense, 5° ≤ 2θ ≤ 70°, by intensity)
2theta  I_rel  (hkl)
34.03  100  2 1 1
42.21  44  3 1 0
21.18  39  1 0 1
38.59  35  1 1 2
43.13  33  2 0 2
68.49  20  3 3 2
60.28  19  2 1 3
58.84  16  4 1 1
65.26  15  4 0 2
37.58  14  2 2 0

Crystal structure
```
data_Zr4AlIr
_chemical_formula_sum 'Zr8 Al2 Ir2'
_space_group_name_H-M_alt 'I 4 2 2'
_space_group_IT_number 97
_space_group_name_Hall 'I 4 2'
_cell_length_a 6.7696
_cell_length_b 6.7696
_cell_length_c 5.3445
_cell_angle_alpha 90.00
_cell_angle_beta 90.00
_cell_angle_gamma 90.00
loop_
_atom_site_label
_atom_site_fract_x
_atom_site_fract_y
_atom_site_fract_z
_atom_site_occupancy
Zr1 0.1591 0.3409 0.2500 1
Al1 0.0000 0.0000 0.0000 1
Ir1 0.0000 0.0000 0.5000 1
```


# 3
For K2HBrF6, a structure optimized by DFT (GGA-PBE) gives the calculated powder diffraction line list in this record (Cu Ka).
Kinematic intensities with the Lorentz-polarization factor, no thermal factor.

Peak list (10 most intense, 5° ≤ 2θ ≤ 70°, by intensity)
2theta  I_rel  (hkl)
20.04  100  1 0 -1
27.69  92  -1 1 1
32.95  90  0 0 2
18.54  74  0 1 -1
32.37  72  1 0 -2
27.26  64  0 1 1
16.52  63  0 1 0
26.74  63  1 -1 1
36.10  58  2 -1 0
32.26  54  1 1 -2

Crystal structure
```
data_K2HBrF6
_chemical_formula_sum 'K2 H1 Br1 F6'
_space_group_name_H-M_alt 'P 1'
_space_group_IT_number 1
_space_group_name_Hall 'P 1'
_cell_length_a 5.3442
_cell_length_b 5.7866
_cell_length_c 6.0280
_cell_angle_alpha 109.04
_cell_angle_beta 104.52
_cell_angle_gamma 95.47
loop_
_atom_site_label
_atom_site_fract_x
_atom_site_fract_y
_atom_site_fract_z
_atom_site_occupancy
K1 0.0000 0.0000 0.0000 1
K2 0.4168 0.5407 0.9793 1
H1 0.9668 0.6134 0.3422 1
Br1 0.6966 0.2710 0.4980 1
F1 0.0133 0.1683 0.6381 1
F2 0.3875 0.3877 0.3718 1
F3 0.4990 0.9705 0.4513 1
F4 0.5034 0.9807 0.9801 1
F5 0.9347 0.6080 0.5634 1
F6 0.9585 0.5988 0.1682 1
```


# 4
For ErZrAl, a structure optimized by DFT (GGA-PBE) gives the calculated powder diffraction line list in this record (Cu Ka).
Kinematic intensities with the Lorentz-polarization factor, no thermal factor.

Peak list (10 most intense, 5° ≤ 2θ ≤ 70°, by intensity)
2theta  I_rel  (hkl)
34.42  100  1 0 3
28.14  37  1 0 1
38.94  37  1 1 0
67.64  28  2 1 3
13.70  25  0 0 2
58.55  19  1 1 6
27.60  15  0 0 4
48.40  13  1 1 4
41.94  13  0 0 6
56.25  12  2 0 0

Crystal structure
```
data_ErZrAl
_chemical_formula_sum 'Er2 Zr2 Al2'
_space_group_name_H-M_alt 'I 4 m m'
_space_group_IT_number 107
_space_group_name_Hall 'I 4 -2'
_cell_length_a 3.2709
_cell_length_b 3.2709
_cell_length_c 12.9257
_cell_angle_alpha 90.00
_cell_angle_beta 90.00
_cell_angle_gamma 90.00
loop_
_atom_site_label
_atom_site_fract_x
_atom_site_fract_y
_atom_site_fract_z
_atom_site_occupancy
Er1 0.0000 0.0000 0.0000 1
Zr1 0.0000 0.0000 0.3128 1
Al1 0.0000 0.0000 0.6659 1
```


# 5
For Cd4Te3Se, a structure optimized by DFT (GGA-PBE) gives the calculated powder diffraction line list in this record (Cu Ka).
Kinematic intensities with the Lorentz-polarization factor, no thermal factor.

Peak list (10 most intense, 5° ≤ 2θ ≤ 70°, by intensity)
2theta  I_rel  (hkl)
23.66  100  1 0 4
39.12  78  1 1 0
46.22  36  0 2 4
62.09  15  2 1 4
56.53  13  0 2 16
46.30  11  0 1 20
62.24  4  1 0 28
34.28  2  1 0 13
40.89  1  0 1 17
64.38  1  0 1 29

Crystal structure
```
data_Cd4Te3Se
_chemical_formula_sum 'Cd12 Te9 Se3'
_space_group_name_H-M_alt 'R 3 m'
_space_group_IT_number 160
_space_group_name_Hall 'R 3 -2"'
_cell_length_a 4.6093
_cell_length_b 4.6093
_cell_length_c 45.0268
_cell_angle_alpha 90.00
_cell_angle_beta 90.00
_cell_angle_gamma 120.00
loop_
_atom_site_label
_atom_site_fract_x
_atom_site_fract_y
_atom_site_fract_z
_atom_site_occupancy
Cd1 0.0000 0.0000 0.0000 1
Cd2 0.0000 0.0000 0.2475 1
Cd3 0.0000 0.0000 0.4952 1
Cd4 0.0000 0.0000 0.7430 1
Te1 0.0000 0.0000 0.1842 1
Te2 0.0000 0.0000 0.4319 1
Te3 0.0000 0.0000 0.9364 1
Se1 0.0000 0.0000 0.6833 1
```


# 6
For TbPmZnCd, a structure optimized by DFT (GGA-PBE) gives the calculated powder diffraction line list in this record (Cu Ka).
Kinematic intensities with the Lorentz-polarization factor, no thermal factor.

Peak list (10 most intense, 5° ≤ 2θ ≤ 70°, by intensity)
2theta  I_rel  (hkl)
34.00  100  1 0 2
34.71  49  1 1 0
61.76  35  2 1 2
49.90  17  2 0 0
60.39  16  1 1 4
47.77  8  0 0 4
24.35  7  1 0 0
27.06  5  1 0 1
50.39  3  1 1 3
23.36  3  0 0 2

Crystal structure
```
data_TbPmZnCd
_chemical_formula_sum 'Tb1 Pm1 Zn1 Cd1'
_space_group_name_H-M_alt 'P 4 m m'
_space_group_IT_number 99
_space_group_name_Hall 'P 4 -2'
_cell_length_a 3.6554
_cell_length_b 3.6554
_cell_length_c 7.6151
_cell_angle_alpha 90.00
_cell_angle_beta 90.00
_cell_angle_gamma 90.00
loop_
_atom_site_label
_atom_site_fract_x
_atom_site_fract_y
_atom_site_fract_z
_atom_site_occupancy
Tb1 0.0000 0.0000 0.0000 1
Pm1 0.0000 0.0000 0.5395 1
Zn1 0.5000 0.5000 0.7808 1
Cd1 0.5000 0.5000 0.2601 1
```


# 7
For KU3Au4Se12, a structure optimized by DFT (GGA-PBE) gives the calculated powder diffraction line list in this record (Cu Ka).
Kinematic intensities with the Lorentz-polarization factor, no thermal factor.

Peak list (10 most intense, 5° ≤ 2θ ≤ 70°, by intensity)
2theta  I_rel  (hkl)
20.08  100  3 0 0
11.52  78  1 1 0
30.79  62  3 1 2
39.00  40  5 0 2
23.06  36  2 0 2
45.72  34  3 3 3
30.94  32  4 1 0
30.59  29  1 1 3
36.89  25  2 2 3
47.57  23  4 4 0

Crystal structure
```
data_KU3Au4Se12
_chemical_formula_sum 'K3 U9 Au12 Se36'
_space_group_name_H-M_alt 'R 3 2'
_space_group_IT_number 155
_space_group_name_Hall 'R 3 2"'
_cell_length_a 15.2929
_cell_length_b 15.2929
_cell_length_c 9.4871
_cell_angle_alpha 90.00
_cell_angle_beta 90.00
_cell_angle_gamma 120.00
loop_
_atom_site_label
_atom_site_fract_x
_atom_site_fract_y
_atom_site_fract_z
_atom_site_occupancy
K1 0.0000 0.0000 0.0000 1
U1 0.0000 0.5611 0.0000 1
Au1 0.0000 0.0000 0.5000 1
Au2 0.0000 0.3341 0.5000 1
Se1 0.0000 0.6084 0.5000 1
Se2 0.0000 0.8358 0.5000 1
Se3 0.0681 0.2185 0.1753 1
```